Entry 1:
The following is a simulated PXRD pattern of MnAl24Cr. It was derived from a PBE-relaxed structure, using Cu Kα, 1.54184 Å.
Lines closer than 0.1° are merged.

Cell and atoms:
```
data_MnAl24Cr
_space_group_name_H-M_alt 'P 1'
_space_group_IT_number 1
_cell_length_a 6.479
_cell_length_b 6.479
_cell_length_c 10.609
_cell_angle_alpha 90.12
_cell_angle_beta 90.12
_cell_angle_gamma 70.81
loop_
_space_group_symop_operation_xyz
'x,y,z'
loop_
_atom_site_label
_atom_site_fract_x
_atom_site_fract_y
_atom_site_fract_z
Mn1 0.000 0.000 0.000
Al1 0.033 0.662 0.152
Al2 0.060 0.060 0.244
Al3 0.102 0.712 0.407
Al4 0.162 0.533 0.652
Al5 0.212 0.603 0.908
Al6 0.245 0.245 0.060
Al7 0.255 0.255 0.440
Al8 0.288 0.898 0.593
Al9 0.338 0.967 0.848
Al10 0.397 0.788 0.092
Al11 0.441 0.441 0.254
Al12 0.467 0.838 0.348
Al13 0.533 0.162 0.652
Al14 0.559 0.559 0.746
Al15 0.603 0.212 0.908
Al16 0.662 0.033 0.152
Al17 0.712 0.102 0.407
Al18 0.745 0.745 0.560
Al19 0.755 0.755 0.940
Al20 0.788 0.397 0.092
Al21 0.838 0.467 0.348
Al22 0.898 0.288 0.593
Al23 0.940 0.940 0.756
Al24 0.967 0.338 0.848
Cr1 0.500 0.500 0.500
```

Main lines, low angle first (10° ≤ 2θ ≤ 90°):
Position (°2θ)  I_rel
16.73  61
37.91  90
38.05  84
41.70  43
45.24  100
45.39  49

---

Entry 2:
The following is a simulated PXRD pattern of NaCeSe2. It was derived from a PBE-relaxed structure, using Cu Kα, 1.54184 Å.
Lines closer than 0.1° are merged.

Cell and atoms:
```
data_NaCeSe2
_space_group_name_H-M_alt 'P 1'
_space_group_IT_number 1
_cell_length_a 7.385
_cell_length_b 7.385
_cell_length_c 7.385
_cell_angle_alpha 33.85
_cell_angle_beta 33.85
_cell_angle_gamma 33.85
loop_
_space_group_symop_operation_xyz
'x,y,z'
loop_
_atom_site_label
_atom_site_fract_x
_atom_site_fract_y
_atom_site_fract_z
Na1 0.000 0.000 0.000
Ce1 0.500 0.500 0.500
Se1 0.246 0.246 0.246
Se2 0.754 0.754 0.754
```

Main lines, low angle first (10° ≤ 2θ ≤ 90°):
Position (°2θ)  I_rel
12.73  37
24.28  19
29.47  100
42.02  38
42.30  36
52.16  20

---

Entry 3:
The following is a simulated PXRD pattern of In3Pd2. It was derived from a PBE-relaxed structure, using Cu Kα, 1.54184 Å.
Lines closer than 0.1° are merged.

Cell and atoms:
```
data_In3Pd2
_space_group_name_H-M_alt 'P 1'
_space_group_IT_number 1
_cell_length_a 4.642
_cell_length_b 4.642
_cell_length_c 5.586
_cell_angle_alpha 90.00
_cell_angle_beta 90.00
_cell_angle_gamma 120.00
loop_
_space_group_symop_operation_xyz
'x,y,z'
loop_
_atom_site_label
_atom_site_fract_x
_atom_site_fract_y
_atom_site_fract_z
In1 0.000 0.000 0.000
In2 0.333 0.667 0.357
In3 0.667 0.333 0.643
Pd1 0.333 0.667 0.855
Pd2 0.667 0.333 0.145
```

Main lines, low angle first (10° ≤ 2θ ≤ 90°):
Position (°2θ)  I_rel
27.33  23
38.80  97
39.28  100
56.40  34
70.25  16
70.57  34

---

Entry 4:
The following is a simulated PXRD pattern of Cs2LiPrCl6. It was derived from a PBE-relaxed structure, using Cu Kα, 1.54184 Å.
Lines closer than 0.1° are merged.

Cell and atoms:
```
data_Cs2LiPrCl6
_space_group_name_H-M_alt 'P 1'
_space_group_IT_number 1
_cell_length_a 7.649
_cell_length_b 7.649
_cell_length_c 7.649
_cell_angle_alpha 60.00
_cell_angle_beta 60.00
_cell_angle_gamma 60.00
loop_
_space_group_symop_operation_xyz
'x,y,z'
loop_
_atom_site_label
_atom_site_fract_x
_atom_site_fract_y
_atom_site_fract_z
Cs1 0.250 0.250 0.250
Cs2 0.750 0.750 0.750
Li1 0.000 0.000 0.000
Pr1 0.500 0.500 0.500
Cl1 0.245 0.245 0.755
Cl2 0.245 0.755 0.245
Cl3 0.245 0.755 0.755
Cl4 0.755 0.245 0.245
Cl5 0.755 0.245 0.755
Cl6 0.755 0.755 0.245
```

Main lines, low angle first (10° ≤ 2θ ≤ 90°):
Position (°2θ)  I_rel
14.18  31
23.26  100
28.58  40
33.12  71
40.87  46
47.55  48

---

Entry 5:
The following is a simulated PXRD pattern of NbCr3Ag2S8. It was derived from a PBE-relaxed structure, using Cu Kα, 1.54184 Å.
Lines closer than 0.1° are merged.

Cell and atoms:
```
data_NbCr3Ag2S8
_space_group_name_H-M_alt 'P 1'
_space_group_IT_number 1
_cell_length_a 6.638
_cell_length_b 5.785
_cell_length_c 15.195
_cell_angle_alpha 90.00
_cell_angle_beta 115.60
_cell_angle_gamma 90.00
loop_
_space_group_symop_operation_xyz
'x,y,z'
loop_
_atom_site_label
_atom_site_fract_x
_atom_site_fract_y
_atom_site_fract_z
Nb1 0.000 0.000 0.000
Nb2 0.000 0.000 0.500
Cr1 0.212 0.487 0.001
Cr2 0.212 0.513 0.501
Cr3 0.500 0.000 0.000
Cr4 0.500 0.000 0.500
Cr5 0.788 0.487 0.499
Cr6 0.788 0.513 0.999
Ag1 0.000 0.477 0.250
Ag2 0.000 0.523 0.750
Ag3 0.500 0.154 0.750
Ag4 0.500 0.846 0.250
S1 0.121 0.339 0.615
S2 0.121 0.661 0.115
S3 0.154 0.178 0.396
S4 0.154 0.822 0.896
S5 0.367 0.175 0.106
S6 0.367 0.825 0.606
S7 0.412 0.343 0.909
S8 0.412 0.657 0.409
S9 0.588 0.343 0.591
S10 0.588 0.657 0.091
S11 0.633 0.175 0.394
S12 0.633 0.825 0.894
S13 0.846 0.178 0.104
S14 0.846 0.822 0.604
S15 0.879 0.339 0.885
S16 0.879 0.661 0.385
```

Main lines, low angle first (10° ≤ 2θ ≤ 90°):
Position (°2θ)  I_rel
12.92  35
21.38  97
36.80  75
40.84  100
41.04  45
55.08  56

---

Entry 6:
The following is a simulated PXRD pattern of Cs2NaMnC6N6. It was derived from a PBE-relaxed structure, using Cu Kα, 1.54184 Å.
Lines closer than 0.1° are merged.

Cell and atoms:
```
data_Cs2NaMnC6N6
_space_group_name_H-M_alt 'P 1'
_space_group_IT_number 1
_cell_length_a 7.639
_cell_length_b 7.915
_cell_length_c 13.404
_cell_angle_alpha 90.00
_cell_angle_beta 124.54
_cell_angle_gamma 90.00
loop_
_space_group_symop_operation_xyz
'x,y,z'
loop_
_atom_site_label
_atom_site_fract_x
_atom_site_fract_y
_atom_site_fract_z
Cs1 0.239 0.050 0.250
Cs2 0.239 0.450 0.750
Cs3 0.761 0.550 0.250
Cs4 0.761 0.950 0.750
Na1 0.000 0.000 0.500
Na2 0.000 0.500 0.000
Mn1 0.500 0.000 0.000
Mn2 0.500 0.500 0.500
C1 0.269 0.143 0.977
C2 0.269 0.357 0.477
C3 0.332 0.705 0.473
C4 0.332 0.795 0.973
C5 0.371 0.010 0.825
C6 0.371 0.490 0.325
C7 0.629 0.510 0.675
C8 0.629 0.990 0.175
C9 0.668 0.205 0.027
C10 0.668 0.295 0.527
C11 0.731 0.643 0.523
C12 0.731 0.857 0.023
N1 0.130 0.228 0.963
N2 0.130 0.272 0.463
N3 0.232 0.673 0.957
N4 0.232 0.827 0.457
N5 0.295 0.019 0.720
N6 0.295 0.481 0.220
N7 0.705 0.519 0.780
N8 0.705 0.981 0.280
N9 0.768 0.173 0.543
N10 0.768 0.327 0.043
N11 0.870 0.728 0.537
N12 0.870 0.772 0.037
```

Main lines, low angle first (10° ≤ 2θ ≤ 90°):
Position (°2θ)  I_rel
16.10  23
22.47  23
22.83  100
23.29  26
28.41  23
32.58  30

---

Entry 7:
The following is a simulated PXRD pattern of La4Mg3Ag10. It was derived from a PBE-relaxed structure, using Cu Kα, 1.54184 Å.
Lines closer than 0.1° are merged.

Cell and atoms:
```
data_La4Mg3Ag10
_space_group_name_H-M_alt 'P 1'
_space_group_IT_number 1
_cell_length_a 8.888
_cell_length_b 8.888
_cell_length_c 10.489
_cell_angle_alpha 90.00
_cell_angle_beta 90.00
_cell_angle_gamma 71.67
loop_
_space_group_symop_operation_xyz
'x,y,z'
loop_
_atom_site_label
_atom_site_fract_x
_atom_site_fract_y
_atom_site_fract_z
La1 0.197 0.803 0.797
La2 0.203 0.203 0.000
La3 0.297 0.297 0.500
La4 0.303 0.697 0.297
La5 0.697 0.303 0.703
La6 0.703 0.703 0.500
La7 0.797 0.797 0.000
La8 0.803 0.197 0.203
Mg1 0.000 0.000 0.500
Mg2 0.019 0.481 0.250
Mg3 0.481 0.019 0.750
Mg4 0.500 0.500 0.000
Mg5 0.519 0.981 0.250
Mg6 0.981 0.519 0.750
Ag1 0.069 0.660 0.528
Ag2 0.096 0.904 0.095
Ag3 0.102 0.173 0.705
Ag4 0.160 0.569 0.028
Ag5 0.173 0.102 0.295
Ag6 0.327 0.398 0.795
Ag7 0.340 0.931 0.528
Ag8 0.398 0.327 0.205
Ag9 0.404 0.596 0.595
Ag10 0.431 0.840 0.028
Ag11 0.569 0.160 0.972
Ag12 0.596 0.404 0.405
Ag13 0.602 0.673 0.795
Ag14 0.660 0.069 0.472
Ag15 0.673 0.602 0.205
Ag16 0.827 0.898 0.705
Ag17 0.840 0.431 0.972
Ag18 0.898 0.827 0.295
Ag19 0.904 0.096 0.905
Ag20 0.931 0.340 0.472
```

Main lines, low angle first (10° ≤ 2θ ≤ 90°):
Position (°2θ)  I_rel
32.83  30
32.98  30
33.34  39
34.78  100
35.86  26
37.03  28

---

Entry 8:
The following is a simulated PXRD pattern of CsC. It was derived from a PBE-relaxed structure, using Cu Kα, 1.54184 Å.
Lines closer than 0.1° are merged.

Cell and atoms:
```
data_CsC
_space_group_name_H-M_alt 'P 1'
_space_group_IT_number 1
_cell_length_a 9.794
_cell_length_b 5.056
_cell_length_c 10.491
_cell_angle_alpha 90.00
_cell_angle_beta 90.00
_cell_angle_gamma 90.00
loop_
_space_group_symop_operation_xyz
'x,y,z'
loop_
_atom_site_label
_atom_site_fract_x
_atom_site_fract_y
_atom_site_fract_z
Cs1 0.016 0.250 0.167
Cs2 0.157 0.250 0.569
Cs3 0.343 0.750 0.069
Cs4 0.484 0.750 0.667
Cs5 0.516 0.250 0.333
Cs6 0.657 0.250 0.931
Cs7 0.843 0.750 0.431
Cs8 0.984 0.750 0.833
C1 0.178 0.750 0.347
C2 0.210 0.250 0.907
C3 0.290 0.750 0.407
C4 0.322 0.250 0.847
C5 0.678 0.750 0.153
C6 0.710 0.250 0.593
C7 0.790 0.750 0.093
C8 0.822 0.250 0.653
```

Main lines, low angle first (10° ≤ 2θ ≤ 90°):
Position (°2θ)  I_rel
25.32  38
26.12  100
26.73  69
27.07  34
28.64  44
35.50  38

---

Entry 9:
The following is a simulated PXRD pattern of La2Zn5Sn. It was derived from a PBE-relaxed structure, using Cu Kα, 1.54184 Å.
Lines closer than 0.1° are merged.

Cell and atoms:
```
data_La2Zn5Sn
_space_group_name_H-M_alt 'P 1'
_space_group_IT_number 1
_cell_length_a 8.710
_cell_length_b 8.710
_cell_length_c 9.160
_cell_angle_alpha 90.00
_cell_angle_beta 90.00
_cell_angle_gamma 149.54
loop_
_space_group_symop_operation_xyz
'x,y,z'
loop_
_atom_site_label
_atom_site_fract_x
_atom_site_fract_y
_atom_site_fract_z
La1 0.000 0.000 0.000
La2 0.000 0.000 0.500
La3 0.207 0.793 0.750
La4 0.793 0.207 0.250
Zn1 0.185 0.815 0.108
Zn2 0.185 0.815 0.392
Zn3 0.344 0.656 0.014
Zn4 0.344 0.656 0.486
Zn5 0.398 0.602 0.750
Zn6 0.602 0.398 0.250
Zn7 0.656 0.344 0.514
Zn8 0.656 0.344 0.986
Zn9 0.815 0.185 0.608
Zn10 0.815 0.185 0.892
Sn1 0.444 0.556 0.250
Sn2 0.556 0.444 0.750
```

Main lines, low angle first (10° ≤ 2θ ≤ 90°):
Position (°2θ)  I_rel
28.07  36
31.93  100
33.06  61
35.75  36
37.64  32
39.37  69

---

Entry 10:
The following is a simulated PXRD pattern of VS. It was derived from a PBE-relaxed structure, using Cu Kα, 1.54184 Å.
Lines closer than 0.1° are merged.

Cell and atoms:
```
data_VS
_space_group_name_H-M_alt 'P 1'
_space_group_IT_number 1
_cell_length_a 3.170
_cell_length_b 3.170
_cell_length_c 6.127
_cell_angle_alpha 90.00
_cell_angle_beta 90.00
_cell_angle_gamma 120.00
loop_
_space_group_symop_operation_xyz
'x,y,z'
loop_
_atom_site_label
_atom_site_fract_x
_atom_site_fract_y
_atom_site_fract_z
V1 0.000 0.000 0.000
V2 0.000 0.000 0.500
S1 0.333 0.667 0.250
S2 0.667 0.333 0.750
```

Main lines, low angle first (10° ≤ 2θ ≤ 90°):
Position (°2θ)  I_rel
32.62  32
35.84  35
44.31  100
58.21  32
75.97  18
88.84  19

---

Entry 11:
The following is a simulated PXRD pattern of Li3CuPCO7. It was derived from a PBE-relaxed structure, using Cu Kα, 1.54184 Å.
Lines closer than 0.1° are merged.

Cell and atoms:
```
data_Li3CuPCO7
_space_group_name_H-M_alt 'P 1'
_space_group_IT_number 1
_cell_length_a 5.172
_cell_length_b 6.195
_cell_length_c 8.613
_cell_angle_alpha 90.00
_cell_angle_beta 102.63
_cell_angle_gamma 90.00
loop_
_space_group_symop_operation_xyz
'x,y,z'
loop_
_atom_site_label
_atom_site_fract_x
_atom_site_fract_y
_atom_site_fract_z
Li1 0.156 0.250 0.081
Li2 0.240 0.506 0.717
Li3 0.240 0.994 0.717
Li4 0.760 0.006 0.283
Li5 0.760 0.494 0.283
Li6 0.844 0.750 0.919
Cu1 0.251 0.750 0.319
Cu2 0.749 0.250 0.681
P1 0.292 0.250 0.410
P2 0.708 0.750 0.590
C1 0.412 0.750 0.019
C2 0.588 0.250 0.981
O1 0.174 0.056 0.300
O2 0.174 0.444 0.300
O3 0.199 0.750 0.079
O4 0.207 0.250 0.569
O5 0.353 0.250 0.891
O6 0.382 0.750 0.867
O7 0.398 0.750 0.557
O8 0.602 0.250 0.443
O9 0.618 0.250 0.133
O10 0.647 0.750 0.109
O11 0.793 0.750 0.431
O12 0.801 0.250 0.921
O13 0.826 0.556 0.700
O14 0.826 0.944 0.700
```

Main lines, low angle first (10° ≤ 2θ ≤ 90°):
Position (°2θ)  I_rel
10.53  71
18.42  56
22.44  54
24.42  68
28.82  100
35.58  44